For Na3LiMnBPO7, DFT lattice parameters and positions (PBE+U) gives the theoretical powder diffractogram in this record (Cu Kα X-rays).

Top 6 peaks for 2θ = 5–70°, sorted by position:
2θ/deg	I (rel.)	index
8.7	56.1	0 0 1
16.0	55.4	0 1 1
18.5	51.3	1 0 -1
23.3	47.1	1 0 -2
27.0	100.0	0 2 0
32.9	71.3	1 2 -1

Atomic structure:
abc: 5.173 6.601 10.233
angles: 90.00 96.07 90.00
Space group P2_1/m (No. 11)
Unique sites:
Na (0.191, 0.002, 0.282) [4 per cell]
Na (0.249, 0.750, 0.544) [2 per cell]
Li (0.000, 0.000, 0.000) [2 per cell]
Mn (0.340, 0.250, 0.817) [2 per cell]
B (0.278, 0.250, 0.566) [2 per cell]
P (0.350, 0.750, 0.918) [2 per cell]
O (0.065, 0.250, 0.639) [2 per cell]
O (0.221, 0.559, 0.849) [4 per cell]
O (0.254, 0.250, 0.431) [2 per cell]
O (0.262, 0.750, 0.062) [2 per cell]
O (0.351, 0.250, 0.078) [2 per cell]
O (0.479, 0.750, 0.358) [2 per cell]